No. 1
This entry pairs a crystal structure of PaTaSe3 with its calculated powder XRD pattern. Radiation: CuKα. Structure: the GGA-PBE geometry in Alexandria.
Neutral-atom scattering factors, no anomalous dispersion.

Top 6 peaks for 2θ from 10° to 90°, in order of falling intensity:
- 2θ 33.79, 2.652 Å, rel. 1000
- 2θ 42.02, 2.150 Å, rel. 581
- 2θ 37.78, 2.381 Å, rel. 465
- 2θ 36.40, 2.468 Å, rel. 438
- 2θ 26.49, 3.365 Å, rel. 408
- 2θ 24.32, 3.659 Å, rel. 325

```
PaTaSe3
1.0
7.680 0.000 0.000
0.000 3.715 0.000
-1.313 0.000 7.943
Pa Ta Se
2 2 6
Cartesian
0.488 0.929 2.285
5.880 2.786 5.658
1.814 2.786 7.049
4.553 0.929 0.894
-0.156 0.929 7.242
0.870 2.786 4.479
2.866 2.786 1.714
3.502 0.929 6.229
5.498 0.929 3.463
6.524 2.786 0.701
```


No. 2
This entry pairs a crystal structure of Na2UAuS4 with its calculated powder XRD pattern. Radiation: CuKα. Structure: the GGA-PBE geometry in Alexandria.
Neutral-atom scattering factors, no anomalous dispersion.

Top 6 peaks for 2θ from 10° to 90°, in order of falling intensity:
- 2θ 16.99, 5.218 Å, rel. 1000
- 2θ 29.05, 3.074 Å, rel. 884
- 2θ 47.24, 1.924 Å, rel. 467
- 2θ 30.83, 2.901 Å, rel. 410
- 2θ 36.41, 2.467 Å, rel. 360
- 2θ 25.53, 3.489 Å, rel. 290

```
Na2UAuS4
1.0
6.979 0.000 0.000
0.000 6.979 0.000
0.000 0.000 7.858
Na U Au S
4 2 2 8
Cartesian
0.000 0.000 0.000
0.000 3.489 1.965
3.489 0.000 5.894
3.489 3.489 3.929
0.000 0.000 3.929
3.489 3.489 0.000
0.000 3.489 5.894
3.489 0.000 1.965
1.531 5.291 5.086
1.688 1.531 2.772
1.801 1.959 6.701
1.959 5.177 1.157
5.020 1.801 1.157
5.177 5.020 6.701
5.291 5.448 2.772
5.448 1.688 5.086
```


No. 3
This entry pairs a crystal structure of Al2Zn3S6 with its calculated powder XRD pattern. Radiation: CuKα. Structure: the GGA-PBE geometry in Alexandria.
Neutral-atom scattering factors, no anomalous dispersion.

Top 6 peaks for 2θ from 10° to 90°, in order of falling intensity:
- 2θ 26.92, 3.312 Å, rel. 1000
- 2θ 30.65, 2.917 Å, rel. 625
- 2θ 47.56, 1.912 Å, rel. 550
- 2θ 52.45, 1.745 Å, rel. 546
- 2θ 39.98, 2.255 Å, rel. 471
- 2θ 14.38, 6.158 Å, rel. 430

```
Al2Zn3S6
1.0
3.312 1.912 6.158
-3.312 1.912 6.158
0.000 -3.824 6.158
Al Zn S
2 3 6
Cartesian
0.000 0.000 0.000
0.000 0.000 6.222
-1.010 -1.815 9.278
-1.067 1.782 9.278
2.077 0.033 9.278
-1.001 -1.923 6.913
0.000 0.000 3.925
-1.165 1.829 6.913
0.000 0.000 10.208
2.166 0.094 6.913
0.000 0.000 16.168
```


No. 4
This entry pairs a crystal structure of Fe2PtWN with its calculated powder XRD pattern. Radiation: CuKα. Structure: the GGA-PBE geometry in Alexandria.
Neutral-atom scattering factors, no anomalous dispersion.

Top 6 peaks for 2θ from 10° to 90°, in order of falling intensity:
- 2θ 39.60, 2.276 Å, rel. 1000
- 2θ 46.58, 1.950 Å, rel. 347
- 2θ 22.04, 4.032 Å, rel. 271
- 2θ 32.47, 2.757 Å, rel. 267
- 2θ 81.65, 1.179 Å, rel. 245
- 2θ 66.74, 1.402 Å, rel. 232

```
Fe2PtWN
1.0
3.899 0.000 0.000
0.000 3.899 0.000
0.000 0.000 4.032
Fe Pt W N
2 1 1 1
Cartesian
0.000 1.950 0.000
1.950 0.000 0.000
0.000 0.000 2.016
1.950 1.950 2.016
1.950 1.950 0.000
```


Please write out number 3 again, unchanged.
This entry pairs a crystal structure of Al2Zn3S6 with its calculated powder XRD pattern. Radiation: CuKα. Structure: the GGA-PBE geometry in Alexandria.
Neutral-atom scattering factors, no anomalous dispersion.

Top 6 peaks for 2θ from 10° to 90°, in order of falling intensity:
- 2θ 26.92, 3.312 Å, rel. 1000
- 2θ 30.65, 2.917 Å, rel. 625
- 2θ 47.56, 1.912 Å, rel. 550
- 2θ 52.45, 1.745 Å, rel. 546
- 2θ 39.98, 2.255 Å, rel. 471
- 2θ 14.38, 6.158 Å, rel. 430

```
Al2Zn3S6
1.0
3.312 1.912 6.158
-3.312 1.912 6.158
0.000 -3.824 6.158
Al Zn S
2 3 6
Cartesian
0.000 0.000 0.000
0.000 0.000 6.222
-1.010 -1.815 9.278
-1.067 1.782 9.278
2.077 0.033 9.278
-1.001 -1.923 6.913
0.000 0.000 3.925
-1.165 1.829 6.913
0.000 0.000 10.208
2.166 0.094 6.913
0.000 0.000 16.168
```


Repeat the second record exactly.
This entry pairs a crystal structure of Na2UAuS4 with its calculated powder XRD pattern. Radiation: CuKα. Structure: the GGA-PBE geometry in Alexandria.
Neutral-atom scattering factors, no anomalous dispersion.

Top 6 peaks for 2θ from 10° to 90°, in order of falling intensity:
- 2θ 16.99, 5.218 Å, rel. 1000
- 2θ 29.05, 3.074 Å, rel. 884
- 2θ 47.24, 1.924 Å, rel. 467
- 2θ 30.83, 2.901 Å, rel. 410
- 2θ 36.41, 2.467 Å, rel. 360
- 2θ 25.53, 3.489 Å, rel. 290

```
Na2UAuS4
1.0
6.979 0.000 0.000
0.000 6.979 0.000
0.000 0.000 7.858
Na U Au S
4 2 2 8
Cartesian
0.000 0.000 0.000
0.000 3.489 1.965
3.489 0.000 5.894
3.489 3.489 3.929
0.000 0.000 3.929
3.489 3.489 0.000
0.000 3.489 5.894
3.489 0.000 1.965
1.531 5.291 5.086
1.688 1.531 2.772
1.801 1.959 6.701
1.959 5.177 1.157
5.020 1.801 1.157
5.177 5.020 6.701
5.291 5.448 2.772
5.448 1.688 5.086
```